Entry 1:
This entry pairs a crystal structure of LiTi3V5O16 with its computed powder X-ray diffraction pattern. Radiation: λ = 1.5418 Å (Cu Kα). Structure: a cell relaxed with PBE+U.
Lines closer than 0.1° are merged.

Cell and atoms:
```
data_LiTi3V5O16
_cell_length_a 5.884
_cell_length_b 5.906
_cell_length_c 9.203
_cell_angle_alpha 90.01
_cell_angle_beta 90.13
_cell_angle_gamma 118.99
_space_group_name_H-M_alt 'P 1'
_space_group_IT_number 1
loop_
_space_group_symop_operation_xyz
'x,y,z'
loop_
_atom_site_label
_atom_site_type_symbol
_atom_site_fract_x
_atom_site_fract_y
_atom_site_fract_z
_atom_site_occupancy
Li1 Li 0.000 0.000 0.000 1
Ti1 Ti 0.342 0.160 0.674 1
Ti2 Ti 0.495 0.483 0.190 1
Ti3 Ti 0.811 0.671 0.677 1
V1 V 0.003 0.495 0.179 1
V2 V 0.326 0.668 0.898 1
V3 V 0.507 0.990 0.175 1
V4 V 0.849 0.190 0.672 1
V5 V 0.994 0.991 0.405 1
O1 O 0.003 0.005 0.787 1
O2 O 0.004 0.517 0.776 1
O3 O 0.127 0.286 0.547 1
O4 O 0.146 0.868 0.541 1
O5 O 0.184 0.372 0.056 1
O6 O 0.186 0.809 0.052 1
O7 O 0.332 0.153 0.283 1
O8 O 0.338 0.661 0.287 1
O9 O 0.492 0.501 0.781 1
O10 O 0.511 0.008 0.776 1
O11 O 0.625 0.813 0.053 1
O12 O 0.662 0.344 0.569 1
O13 O 0.667 0.328 0.078 1
O14 O 0.712 0.860 0.545 1
O15 O 0.842 0.663 0.283 1
O16 O 0.848 0.153 0.283 1
```

The 10 most intense peaks (2θ from 5° to 70°), sorted by position:
(hkl)	2θ/deg	d_spacing	I (rel.)
0 0 2	19.29	4.601	100
1 0 1	19.74	4.498	99
-1 1 1	19.97	4.447	56
0 1 -2	25.95	3.433	47
0 2 1	36.13	2.486	49
2 -1 2	36.25	2.478	45
0 2 -2	40.05	2.251	36
0 2 -3	45.94	1.975	45
0 2 -5	61.90	1.499	31
2 2 0	62.05	1.496	33



Entry 2:
This entry pairs a crystal structure of LiTi2VO6 with its computed powder X-ray diffraction pattern. Radiation: λ = 1.5418 Å (Cu Kα). Structure: a cell relaxed with PBE+U.
Lines closer than 0.1° are merged.

Cell and atoms:
```
data_LiTi2VO6
_cell_length_a 9.945
_cell_length_b 8.970
_cell_length_c 5.633
_cell_angle_alpha 90.00
_cell_angle_beta 103.72
_cell_angle_gamma 90.00
_space_group_name_H-M_alt 'P 1 21/c 1'
_space_group_IT_number 14
loop_
_space_group_symop_operation_xyz
'x,y,z'
'-x,-y,-z'
'-x,y+1/2,-z+1/2'
'x,-y+1/2,z+1/2'
loop_
_atom_site_label
_atom_site_type_symbol
_atom_site_fract_x
_atom_site_fract_y
_atom_site_fract_z
_atom_site_occupancy
Li1 Li 0.240 0.009 0.463 1
Ti1 Ti 0.054 0.158 0.828 1
Ti2 Ti 0.452 0.156 0.236 1
V1 V 0.249 0.665 0.453 1
O1 O 0.113 0.187 0.160 1
O2 O 0.131 0.509 0.249 1
O3 O 0.138 0.665 0.740 1
O4 O 0.356 0.667 0.170 1
O5 O 0.381 0.522 0.643 1
O6 O 0.384 0.198 0.505 1
```

The 10 most intense peaks (2θ from 5° to 70°), sorted by position:
(hkl)	2θ/deg	d_spacing	I (rel.)
0 1 1	19.00	4.672	31
0 2 0	19.79	4.485	39
2 1 -1	23.66	3.760	24
1 2 -1	25.95	3.433	23
1 2 1	28.62	3.119	100
3 1 0	29.47	3.031	93
2 0 -2	33.60	2.667	47
3 2 -1	35.06	2.560	39
4 3 1	54.48	1.684	29
6 3 -1	64.34	1.448	28



Entry 3:
This entry pairs a crystal structure of Li2Ti2VO6 with its computed powder X-ray diffraction pattern. Radiation: λ = 1.5418 Å (Cu Kα). Structure: a cell relaxed with PBE+U.
Lines closer than 0.1° are merged.

Cell and atoms:
```
data_Li2Ti2VO6
_cell_length_a 6.710
_cell_length_b 6.766
_cell_length_c 8.522
_cell_angle_alpha 71.06
_cell_angle_beta 70.76
_cell_angle_gamma 83.07
_space_group_name_H-M_alt 'P -1'
_space_group_IT_number 2
loop_
_space_group_symop_operation_xyz
'x,y,z'
'-x,-y,-z'
loop_
_atom_site_label
_atom_site_type_symbol
_atom_site_fract_x
_atom_site_fract_y
_atom_site_fract_z
_atom_site_occupancy
Li1 Li 0.003 0.164 0.334 1
Li2 Li 0.327 0.172 0.004 1
Li3 Li 0.328 0.502 0.670 1
Ti1 Ti 0.317 0.836 0.839 1
Ti2 Ti 0.319 0.505 0.173 1
Ti3 Ti 0.324 0.168 0.504 1
V1 V 0.000 0.500 0.500 1
V2 V 0.007 0.828 0.166 1
O1 O 0.018 0.499 0.253 1
O2 O 0.018 0.845 0.910 1
O3 O 0.029 0.167 0.576 1
O4 O 0.324 0.150 0.743 1
O5 O 0.337 0.475 0.411 1
O6 O 0.340 0.817 0.067 1
O7 O 0.345 0.194 0.253 1
O8 O 0.348 0.852 0.595 1
O9 O 0.352 0.520 0.921 1
```

The 10 most intense peaks (2θ from 5° to 70°), sorted by position:
(hkl)	2θ/deg	d_spacing	I (rel.)
1 1 1	17.84	4.971	100
0 0 3	35.12	2.555	22
-2 1 1	35.42	2.534	11
1 1 4	42.40	2.132	48
3 0 0	42.83	2.112	23
2 2 -1	46.44	1.955	6
1 4 1	55.76	1.649	10
3 3 0	61.30	1.512	6
1 -2 4	61.86	1.500	7
3 -3 0	62.33	1.490	12